Starting from a cell relaxed with GGA+U, the X-ray diffraction stick pattern of Li5FeO4 was calculated for Cu Kα (λ = 1.5418 Å).
Lines closer than 0.1° are merged.

a b c (Å): 5.6054 6.7792 11.0169
angles (deg): 89.89 78.18 89.76
Positions (direct):
1 Li 0.0000 0.0000 0.0000
2 Li 0.0010 0.2326 0.4878
3 Li 0.0122 0.5486 0.9962
4 Li 0.0834 0.0453 0.6460
5 Li 0.1249 0.4933 0.6229
6 Li 0.1806 0.9872 0.2784
7 Li 0.2175 0.5539 0.2578
8 Li 0.3083 0.7333 0.4164
9 Li 0.3953 0.7747 0.0227
10 Li 0.4100 0.2772 0.3699
11 Li 0.4479 0.2819 0.9645
12 Li 0.4906 0.9867 0.5063
13 Li 0.5811 0.0615 0.1350
14 Li 0.6009 0.4890 0.1277
15 Li 0.6754 0.0031 0.7696
16 Li 0.7032 0.5502 0.7608
17 Li 0.7933 0.7731 0.9000
18 Li 0.8147 0.4914 0.3947
19 Li 0.8910 0.7753 0.5337
20 Li 0.9109 0.2740 0.8574
21 Fe 0.0742 0.2729 0.1466
22 Fe 0.2283 0.7714 0.7669
23 Fe 0.5835 0.2809 0.6311
24 Fe 0.7294 0.7793 0.2589
25 O 0.0060 0.9882 0.8248
26 O 0.0135 0.5546 0.8210
27 O 0.0701 0.2870 0.3169
28 O 0.2412 0.7826 0.5902
29 O 0.2664 0.0465 0.0871
30 O 0.2773 0.4942 0.0805
31 O 0.3033 0.2481 0.5573
32 O 0.5035 0.9834 0.3216
33 O 0.5055 0.7713 0.8388
34 O 0.5379 0.5452 0.3091
35 O 0.5907 0.2804 0.8004
36 O 0.7613 0.7761 0.0796
37 O 0.7711 0.0424 0.5826
38 O 0.8083 0.4864 0.5700
39 O 0.8130 0.2718 0.0572
40 O 0.9985 0.7509 0.3406

Principal peaks in the range 2θ = 10–80°, by angle:
2θ (°)	Rel. int.
16.4	42
16.6	26
21.1	95
21.2	28
23.6	100
26.3	28
26.7	23
33.0	42
35.8	19
55.9	29